Theoretical powder diffraction line list
Compound: Gd3NbO7
Radiation: Cu Kα, 1.54184 Å
Structure: a crystal structure in Alexandria, relaxed with GGA-PBE

Atomic structure:
abc: 8.209 5.724 7.702
angles: 90.00 117.05 90.00
Atoms (fractional coordinates):
Gd 0.000 0.002 0.000
Gd 0.000 0.998 0.500
Gd 0.218 0.479 0.928
Gd 0.218 0.521 0.428
Gd 0.445 0.034 0.365
Gd 0.445 0.966 0.865
Nb 0.688 0.486 0.746
Nb 0.688 0.514 0.246
O 0.099 0.137 0.793
O 0.099 0.863 0.293
O 0.200 0.287 0.182
O 0.200 0.713 0.682
O 0.346 0.200 0.605
O 0.346 0.800 0.105
O 0.502 0.275 0.107
O 0.502 0.725 0.607
O 0.654 0.358 0.495
O 0.654 0.642 0.995
O 0.722 0.188 0.877
O 0.722 0.812 0.377
O 0.917 0.371 0.342
O 0.917 0.629 0.842

Peak list (10 most intense, 5° ≤ 2θ ≤ 70°, low angle first)
2theta, I (rel.)
26.0, 212
27.9, 652
29.0, 1000
30.7, 415
31.3, 339
33.5, 194
46.5, 321
51.4, 204
54.2, 181
55.2, 230